Calculated X-ray diffraction stick pattern of KCa5Mg5AlSi12O36 for Cu Ka, from DFT lattice parameters and positions (PBE).

Top 10 peaks for 2θ = 15–90°, low angle first:
27.35 deg, I 26
29.54 deg, I 100
30.10 deg, I 27
30.61 deg, I 37
34.57 deg, I 24
35.10 deg, I 42
35.37 deg, I 40
41.94 deg, I 18
43.86 deg, I 20
65.10 deg, I 19

Structure:
Cell lengths 6.6673, 6.6673, 15.9636 Å; angles 101.76, 101.76, 85.18 degrees
Fractional coordinates of all 60 atoms:
K 0.0000 0.0000 0.0000
Ca 0.0031 0.9945 0.3314
Ca 0.0055 0.9969 0.6686
Ca 0.5998 0.3872 0.1682
Ca 0.6042 0.3958 0.5000
Ca 0.6128 0.4002 0.8318
Mg 0.2079 0.7877 0.8344
Mg 0.2096 0.7904 0.5000
Mg 0.2123 0.7921 0.1656
Mg 0.3939 0.6030 0.6659
Mg 0.3970 0.6061 0.3341
Al 0.4006 0.5994 0.0000
Si 0.1088 0.3166 0.5058
Si 0.1127 0.3177 0.8435
Si 0.1157 0.3200 0.1763
Si 0.4962 0.0771 0.6600
Si 0.4972 0.0736 0.3264
Si 0.5009 0.0723 0.9906
Si 0.6800 0.8843 0.8237
Si 0.6823 0.8873 0.1565
Si 0.6834 0.8912 0.4942
Si 0.9229 0.5038 0.3400
Si 0.9264 0.5028 0.6736
Si 0.9277 0.4991 0.0094
O 0.0996 0.6700 0.3695
O 0.1025 0.6694 0.7021
O 0.1278 0.6414 0.0346
O 0.1877 0.0848 0.4746
O 0.1908 0.0845 0.8165
O 0.2159 0.0944 0.1534
O 0.2760 0.4926 0.5353
O 0.2772 0.5020 0.2042
O 0.2853 0.4939 0.8788
O 0.3300 0.9004 0.6305
O 0.3306 0.8975 0.2979
O 0.3586 0.8722 0.9654
O 0.4151 0.3081 0.6922
O 0.4202 0.3110 0.0179
O 0.4227 0.3078 0.3554
O 0.4980 0.7228 0.7958
O 0.5061 0.7147 0.1212
O 0.5074 0.7240 0.4647
O 0.6286 0.0635 0.9100
O 0.6339 0.0679 0.5818
O 0.6397 0.0493 0.2486
O 0.6611 0.0412 0.0844
O 0.6713 0.0288 0.4157
O 0.6728 0.0278 0.7471
O 0.6890 0.5798 0.9821
O 0.6922 0.5773 0.6446
O 0.6919 0.5849 0.3078
O 0.9056 0.7841 0.8466
O 0.9152 0.8123 0.5254
O 0.9155 0.8092 0.1835
O 0.9321 0.3661 0.4182
O 0.9365 0.3714 0.0900
O 0.9507 0.3603 0.7514
O 0.9588 0.3389 0.9156
O 0.9712 0.3287 0.5843
O 0.9722 0.3272 0.2529

=====

Calculated X-ray diffraction stick pattern of Y4Al16Pd3 for Cu Ka, from DFT lattice parameters and positions (PBE).

Top 10 peaks for 2θ = 15–90°, low angle first:
20.29 deg, I 54
21.81 deg, I 35
28.85 deg, I 41
31.52 deg, I 100
37.78 deg, I 97
41.26 deg, I 80
43.63 deg, I 30
52.83 deg, I 42
59.77 deg, I 26
72.91 deg, I 24

Structure:
Cell lengths 6.1894, 6.1894, 11.1846 Å; angles 90.00, 90.00, 90.00 degrees
Fractional coordinates of all 23 atoms:
Y 0.0000 0.5000 0.1887
Y 0.0000 0.5000 0.8113
Y 0.5000 0.0000 0.1887
Y 0.5000 0.0000 0.8113
Al 0.0000 0.0000 0.1971
Al 0.0000 0.0000 0.8029
Al 0.2133 0.2133 0.0000
Al 0.2133 0.7867 0.0000
Al 0.2431 0.2431 0.3762
Al 0.2431 0.2431 0.6238
Al 0.2431 0.7569 0.3762
Al 0.2431 0.7569 0.6238
Al 0.5000 0.5000 0.2281
Al 0.5000 0.5000 0.7719
Al 0.7569 0.2431 0.3762
Al 0.7569 0.2431 0.6238
Al 0.7569 0.7569 0.3762
Al 0.7569 0.7569 0.6238
Al 0.7867 0.2133 0.0000
Al 0.7867 0.7867 0.0000
Pd 0.0000 0.5000 0.5000
Pd 0.5000 0.0000 0.5000
Pd 0.5000 0.5000 0.0000